Computed XRD peak list of Zn3Ga2Tc for Cu Ka, from DFT lattice parameters and positions (PBE).
Lines closer than 0.1° are merged.

Top 10 peaks for 15 to 90 degrees two-theta, sorted by position:
d = 2.534 Å, I = 42.3
d = 2.475 Å, I = 47.4
d = 2.238 Å, I = 36.7
d = 2.227 Å, I = 23.4
d = 2.197 Å, I = 50.1
d = 2.175 Å, I = 51.3
d = 2.115 Å, I = 100.0
d = 2.079 Å, I = 76.2
d = 1.804 Å, I = 23.5
d = 1.344 Å, I = 18.3

Cell and atoms:
abc: 9.970 9.250 5.124
angles: 82.47 66.90 30.63
Sites, in units of the cell vectors:
Zn 0.134 0.134 0.866
Zn 0.216 0.586 0.414
Zn 0.414 0.784 0.216
Zn 0.586 0.216 0.784
Zn 0.784 0.414 0.586
Zn 0.866 0.866 0.134
Ga 0.246 0.754 0.754
Ga 0.250 0.250 0.250
Ga 0.750 0.750 0.750
Ga 0.754 0.246 0.246
Tc 0.282 0.282 0.718
Tc 0.718 0.718 0.282

---

Computed XRD peak list of ZnGa4Tc for Cu Ka, from DFT lattice parameters and positions (PBE).
Lines closer than 0.1° are merged.

Top 10 peaks for 15 to 90 degrees two-theta, sorted by position:
d = 2.504 Å, I = 43.6
d = 2.491 Å, I = 39.4
d = 2.477 Å, I = 43.9
d = 2.464 Å, I = 40.6
d = 2.253 Å, I = 22.7
d = 2.208 Å, I = 45.4
d = 2.190 Å, I = 23.2
d = 2.015 Å, I = 100.0
d = 1.996 Å, I = 29.6
d = 1.969 Å, I = 25.7

Cell and atoms:
abc: 6.373 6.373 5.067
angles: 90.80 90.80 90.00
Sites, in units of the cell vectors:
Zn 0.003 0.997 0.750
Zn 0.997 0.003 0.250
Ga 0.159 0.364 0.992
Ga 0.160 0.637 0.496
Ga 0.363 0.840 0.004
Ga 0.364 0.159 0.492
Ga 0.636 0.841 0.508
Ga 0.637 0.160 0.996
Ga 0.840 0.363 0.504
Ga 0.841 0.636 0.008
Tc 0.500 0.500 0.250
Tc 0.500 0.500 0.750

---

Computed XRD peak list of ZrGaTc for Cu Ka, from DFT lattice parameters and positions (PBE).
Lines closer than 0.1° are merged.

Top 10 peaks for 15 to 90 degrees two-theta, sorted by position:
d = 2.433 Å, I = 53.7
d = 2.380 Å, I = 100.0
d = 2.254 Å, I = 85.7
d = 1.958 Å, I = 55.1
d = 1.525 Å, I = 24.1
d = 1.435 Å, I = 19.5
d = 1.367 Å, I = 16.6
d = 1.347 Å, I = 15.3
d = 1.324 Å, I = 14.9
d = 1.096 Å, I = 16.0

Cell and atoms:
abc: 6.431 4.914 5.490
angles: 76.13 47.89 55.98
Sites, in units of the cell vectors:
Zr 0.000 0.000 0.000
Zr 0.250 0.250 0.250
Ga 0.345 0.345 0.655
Ga 0.595 0.595 0.905
Tc 0.673 0.673 0.327
Tc 0.923 0.923 0.577

---

Computed XRD peak list of Zr2Ga4Tc for Cu Ka, from DFT lattice parameters and positions (PBE).
Lines closer than 0.1° are merged.

Top 10 peaks for 15 to 90 degrees two-theta, sorted by position:
d = 4.636 Å, I = 18.9
d = 2.318 Å, I = 100.0
d = 2.075 Å, I = 17.9
d = 1.980 Å, I = 15.4
d = 1.973 Å, I = 15.3
d = 1.432 Å, I = 10.4
d = 1.240 Å, I = 13.1
d = 1.198 Å, I = 11.4
d = 1.195 Å, I = 11.3
d = 1.159 Å, I = 10.6

Cell and atoms:
abc: 5.736 5.726 5.589
angles: 60.90 60.73 58.37
Sites, in units of the cell vectors:
Zr 0.000 0.000 0.500
Zr 0.500 0.500 0.000
Ga 0.001 0.499 0.501
Ga 0.499 0.001 0.999
Ga 0.501 0.999 0.499
Ga 0.999 0.501 0.001
Tc 0.500 0.500 0.500

---

Computed XRD peak list of Zr4GaTc3 for Cu Ka, from DFT lattice parameters and positions (PBE).
Lines closer than 0.1° are merged.

Top 10 peaks for 15 to 90 degrees two-theta, sorted by position:
d = 4.162 Å, I = 0.8
d = 2.350 Å, I = 100.0
d = 2.326 Å, I = 48.4
d = 1.679 Å, I = 8.7
d = 1.645 Å, I = 16.0
d = 1.361 Å, I = 16.8
d = 1.347 Å, I = 32.1
d = 1.175 Å, I = 10.2
d = 1.164 Å, I = 2.5
d = 1.162 Å, I = 2.4

Cell and atoms:
abc: 3.358 4.655 9.299
angles: 90.00 90.00 90.00
Sites, in units of the cell vectors:
Zr 0.000 0.000 0.000
Zr 0.000 0.000 0.500
Zr 0.000 0.500 0.243
Zr 0.000 0.500 0.757
Ga 0.500 0.500 0.500
Tc 0.500 0.000 0.254
Tc 0.500 0.000 0.746
Tc 0.500 0.500 0.000

---

Computed XRD peak list of Ga2Te5 for Cu Ka, from DFT lattice parameters and positions (PBE).
Lines closer than 0.1° are merged.

Top 10 peaks for 15 to 90 degrees two-theta, sorted by position:
d = 5.305 Å, I = 15.7
d = 3.482 Å, I = 23.4
d = 3.241 Å, I = 100.0
d = 2.895 Å, I = 26.0
d = 2.652 Å, I = 20.8
d = 2.078 Å, I = 47.6
d = 1.960 Å, I = 23.9
d = 1.910 Å, I = 29.5
d = 1.509 Å, I = 13.6
d = 1.302 Å, I = 22.9

Cell and atoms:
abc: 8.188 8.188 6.964
angles: 90.00 90.00 90.00
Sites, in units of the cell vectors:
Ga 0.000 0.500 0.250
Ga 0.000 0.500 0.750
Ga 0.500 0.000 0.250
Ga 0.500 0.000 0.750
Te 0.000 0.000 0.000
Te 0.174 0.679 0.500
Te 0.179 0.326 0.000
Te 0.321 0.174 0.500
Te 0.326 0.821 0.000
Te 0.500 0.500 0.500
Te 0.674 0.179 0.000
Te 0.679 0.826 0.500
Te 0.821 0.674 0.000
Te 0.826 0.321 0.500